The following is a computed powder diffraction line list of SrTiCu4P4O17. It was derived from the GGA-PBE geometry in the Materials Project, using Cu Kα X-rays.
No peak broadening, texture or thermal motion is included.

Top 6 peaks for 10 to 90 degrees two-theta, low angle first:
| 2θ (°) | I_rel | (hkl) |
| --- | --- | --- |
| 22.3 | 40 | 2 0 1 |
| 26.7 | 28 | 1 0 2 |
| 29.0 | 100 | 2 2 1 |
| 30.5 | 32 | 3 0 1 |
| 31.2 | 45 | 2 0 2 |
| 58.4 | 22 | 2 2 4 |

Structural model:
```
data_SrTiCu4P4O17
_cell_length_a 9.6409
_cell_length_b 9.6409
_cell_length_c 7.1291
_cell_angle_alpha 90.00
_cell_angle_beta 90.00
_cell_angle_gamma 90.00
_space_group_name_H-M_alt 'P 4 21 2'
_space_group_IT_number 90
_space_group_name_Hall 'P 4ab 2ab'
loop_
_atom_site_label
_atom_site_type_symbol
_atom_site_fract_x
_atom_site_fract_y
_atom_site_fract_z
_atom_site_occupancy
Sr1 Sr 0.0000 0.0000 0.0000 1
Ti1 Ti 0.0000 0.5000 0.0188 1
Cu1 Cu 0.0195 0.2664 0.5982 1
P1 P 0.1844 0.7266 0.2580 1
O1 O 0.0000 0.5000 0.7795 1
O2 O 0.0988 0.6708 0.0922 1
O3 O 0.1154 0.8457 0.7373 1
O4 O 0.1312 0.6578 0.4461 1
O5 O 0.1611 0.1868 0.7629 1
```

The following is a computed powder diffraction line list of ZrNbN2. It was derived from the GGA-PBE geometry in the Materials Project, using Cu Kα X-rays.
No peak broadening, texture or thermal motion is included.

Top 6 peaks for 10 to 90 degrees two-theta, low angle first:
| 2θ (°) | I_rel | (hkl) |
| --- | --- | --- |
| 34.1 | 87 | 0 1 2 |
| 34.7 | 28 | 0 0 6 |
| 39.8 | 100 | 1 0 4 |
| 57.2 | 32 | 1 1 0 |
| 57.9 | 31 | 0 1 8 |
| 68.6 | 24 | 1 1 6 |

Structural model:
```
data_ZrNbN2
_cell_length_a 3.2232
_cell_length_b 3.2232
_cell_length_c 15.5181
_cell_angle_alpha 90.00
_cell_angle_beta 90.00
_cell_angle_gamma 120.00
_space_group_name_H-M_alt 'R -3 m'
_space_group_IT_number 166
_space_group_name_Hall '-R 3 2"'
loop_
_atom_site_label
_atom_site_type_symbol
_atom_site_fract_x
_atom_site_fract_y
_atom_site_fract_z
_atom_site_occupancy
Zr1 Zr 0.0000 0.0000 0.0000 1
Nb1 Nb 0.0000 0.0000 0.5000 1
N1 N 0.0000 0.0000 0.2492 1
```

The following is a computed powder diffraction line list of Tm3Ag2Pb4. It was derived from the GGA-PBE geometry in the Materials Project, using Cu Kα X-rays.
No peak broadening, texture or thermal motion is included.

Top 6 peaks for 10 to 90 degrees two-theta, low angle first:
| 2θ (°) | I_rel | (hkl) |
| --- | --- | --- |
| 23.7 | 21 | 1 1 3 |
| 31.0 | 100 | 1 1 6 |
| 36.3 | 89 | 3 1 0 |
| 40.5 | 26 | 2 0 9 |
| 48.5 | 29 | 4 0 6 |
| 62.1 | 28 | 4 2 6 |

Structural model:
```
data_Tm3Ag2Pb4
_cell_length_a 8.5719
_cell_length_b 4.9403
_cell_length_c 23.4519
_cell_angle_alpha 90.00
_cell_angle_beta 90.02
_cell_angle_gamma 90.00
_space_group_name_H-M_alt 'C 1 m 1'
_space_group_IT_number 8
_space_group_name_Hall 'C -2y'
loop_
_atom_site_label
_atom_site_type_symbol
_atom_site_fract_x
_atom_site_fract_y
_atom_site_fract_z
_atom_site_occupancy
Tm1 Tm 0.0000 0.0000 0.0000 1
Tm2 Tm 0.9998 0.0000 0.1352 1
Tm3 Tm 0.9998 0.0000 0.3208 1
Tm4 Tm 0.9999 0.0000 0.6583 1
Tm5 Tm 0.9996 0.0000 0.8119 1
Tm6 Tm 0.4994 0.5000 0.4752 1
Ag1 Ag 0.1665 0.5000 0.0682 1
Ag2 Ag 0.3333 0.0000 0.0677 1
Ag3 Ag 0.3328 0.0000 0.3868 1
Ag4 Ag 0.3334 0.0000 0.7278 1
Pb1 Pb 0.1661 0.5000 0.4002 1
Pb2 Pb 0.1664 0.5000 0.8792 1
Pb3 Pb 0.1668 0.5000 0.2026 1
Pb4 Pb 0.1665 0.5000 0.5448 1
Pb5 Pb 0.1665 0.5000 0.7315 1
Pb6 Pb 0.3334 0.0000 0.2547 1
Pb7 Pb 0.3333 0.0000 0.5932 1
Pb8 Pb 0.3331 0.0000 0.9334 1
```

The following is a computed powder diffraction line list of UCuAs2. It was derived from the GGA-PBE geometry in the Materials Project, using Cu Kα X-rays.
No peak broadening, texture or thermal motion is included.

Top 6 peaks for 10 to 90 degrees two-theta, low angle first:
| 2θ (°) | I_rel | (hkl) |
| --- | --- | --- |
| 23.0 | 46 | 1 0 1 |
| 34.3 | 100 | 2 0 0 |
| 35.7 | 69 | 1 0 2 |
| 39.8 | 45 | 1 1 2 |
| 49.3 | 36 | 2 2 0 |
| 50.3 | 53 | 2 1 2 |

Structural model:
```
data_UCuAs2
_cell_length_a 5.2308
_cell_length_b 5.2308
_cell_length_c 5.7380
_cell_angle_alpha 90.00
_cell_angle_beta 90.00
_cell_angle_gamma 90.00
_space_group_name_H-M_alt 'P 4/n m m'
_space_group_IT_number 129
loop_
_space_group_symop_operation_xyz
'x,y,z'
'-x,-y,-z'
'-y+1/2,x,z'
'y+1/2,-x,-z'
'-x+1/2,-y+1/2,z'
'x+1/2,y+1/2,-z'
'y,-x+1/2,z'
'-y,x+1/2,-z'
'x+1/2,-y,-z'
'-x+1/2,y,z'
'-y,-x,-z'
'y,x,z'
'-x,y+1/2,-z'
'x,-y+1/2,z'
'y+1/2,x+1/2,-z'
'-y+1/2,-x+1/2,z'
loop_
_atom_site_label
_atom_site_type_symbol
_atom_site_fract_x
_atom_site_fract_y
_atom_site_fract_z
_atom_site_occupancy
U1 U 0.2500 0.2500 0.1614 1
Cu1 Cu 0.2500 0.7500 0.5000 1
As1 As 0.2500 0.2500 0.6402 1
As2 As 0.2500 0.7500 0.0000 1
```